1.
The following is a theoretical powder X-ray diffraction pattern of HoGa6. It was derived from a DFT-relaxed cell (GGA-PBE, the Materials Project), using CuKα.
Peak positions follow from Bragg's law for the DFT cell and can differ from measured ones.

Structure:
```
data_HoGa6
_space_group_name_H-M_alt 'P 4/n b m'
_space_group_IT_number 125
_cell_length_a 6.025
_cell_length_b 6.025
_cell_length_c 7.586
_cell_angle_alpha 90.00
_cell_angle_beta 90.00
_cell_angle_gamma 90.00
loop_
_space_group_symop_operation_xyz
'x,y,z'
'-x,-y,-z'
'-y+1/2,x,z'
'y+1/2,-x,-z'
'-x+1/2,-y+1/2,z'
'x+1/2,y+1/2,-z'
'y,-x+1/2,z'
'-y,x+1/2,-z'
'x,-y+1/2,-z'
'-x,y+1/2,z'
'-y+1/2,-x+1/2,-z'
'y+1/2,x+1/2,z'
'-x+1/2,y,-z'
'x+1/2,-y,z'
'y,x,-z'
'-y,-x,z'
loop_
_atom_site_label
_atom_site_type_symbol
_atom_site_fract_x
_atom_site_fract_y
_atom_site_fract_z
Ho1 Ho 0.250 0.750 0.000
Ga1 Ga 0.064 0.564 0.350
Ga2 Ga 0.250 0.250 0.162
```

Principal peaks in the range 10° ≤ 2θ ≤ 90°, by intensity:
| Position (°2θ) | I_rel | h k l |
| --- | --- | --- |
| 31.97 | 100 | 2 0 1 |
| 41.53 | 47 | 1 1 3 |
| 31.58 | 37 | 1 1 2 |
| 42.44 | 36 | 2 2 0 |
| 35.35 | 30 | 2 1 1 |
| 41.09 | 27 | 2 1 2 |
| 53.85 | 24 | 3 1 2 |
| 77.02 | 18 | 3 3 3 |
| 70.00 | 18 | 3 1 4 |
| 35.50 | 13 | 0 0 3 |


2.
The following is a theoretical powder X-ray diffraction pattern of Na6TlSb4. It was derived from a DFT-relaxed cell (GGA-PBE, the Materials Project), using CuKα.
Peak positions follow from Bragg's law for the DFT cell and can differ from measured ones.

Structure:
```
data_Na6TlSb4
_space_group_name_H-M_alt 'C 1 2/c 1'
_space_group_IT_number 15
_cell_length_a 15.083
_cell_length_b 10.801
_cell_length_c 17.801
_cell_angle_alpha 90.00
_cell_angle_beta 114.20
_cell_angle_gamma 90.00
loop_
_space_group_symop_operation_xyz
'x,y,z'
'-x,-y,-z'
'-x,y,-z+1/2'
'x,-y,z+1/2'
'x+1/2,y+1/2,z'
'-x+1/2,-y+1/2,-z'
'-x+1/2,y+1/2,-z+1/2'
'x+1/2,-y+1/2,z+1/2'
loop_
_atom_site_label
_atom_site_type_symbol
_atom_site_fract_x
_atom_site_fract_y
_atom_site_fract_z
Na1 Na 0.021 0.136 0.077
Na2 Na 0.068 0.351 0.592
Na3 Na 0.111 0.382 0.235
Na4 Na 0.119 0.096 0.738
Na5 Na 0.193 0.336 0.054
Na6 Na 0.202 0.145 0.401
Tl1 Tl 0.092 0.349 0.831
Sb1 Sb 0.094 0.110 0.929
Sb2 Sb 0.103 0.399 0.427
Sb3 Sb 0.206 0.061 0.586
Sb4 Sb 0.240 0.143 0.229
```

Principal peaks in the range 10° ≤ 2θ ≤ 90°, by intensity:
| Position (°2θ) | I_rel | h k l |
| --- | --- | --- |
| 13.03 | 100 | 1 1 -2 |
| 33.56 | 84 | 4 2 -5 |
| 33.17 | 60 | 0 4 0 |
| 10.45 | 52 | 1 1 -1 |
| 23.27 | 49 | 0 2 3 |
| 23.61 | 34 | 4 0 -2 |
| 39.27 | 33 | 6 0 0 |
| 29.84 | 32 | 2 2 3 |
| 32.15 | 32 | 0 2 5 |
| 33.64 | 31 | 0 4 1 |


3.
The following is a theoretical powder X-ray diffraction pattern of ErZn2. It was derived from a DFT-relaxed cell (GGA-PBE, the Materials Project), using CuKα.
Peak positions follow from Bragg's law for the DFT cell and can differ from measured ones.

Structure:
```
data_ErZn2
_space_group_name_H-M_alt 'I m m a'
_space_group_IT_number 74
_space_group_name_Hall '-I 2b 2'
_cell_length_a 4.450
_cell_length_b 7.033
_cell_length_c 7.538
_cell_angle_alpha 90.00
_cell_angle_beta 90.00
_cell_angle_gamma 90.00
loop_
_atom_site_label
_atom_site_type_symbol
_atom_site_fract_x
_atom_site_fract_y
_atom_site_fract_z
Er1 Er 0.000 0.250 0.034
Zn1 Zn 0.000 0.044 0.666
```

Principal peaks in the range 10° ≤ 2θ ≤ 90°, by intensity:
| Position (°2θ) | I_rel | h k l |
| --- | --- | --- |
| 34.62 | 100 | 1 2 1 |
| 41.26 | 47 | 1 0 3 |
| 34.90 | 44 | 0 2 2 |
| 40.55 | 31 | 2 0 0 |
| 54.53 | 29 | 2 2 2 |
| 33.67 | 23 | 1 1 2 |
| 23.21 | 22 | 1 0 1 |
| 67.11 | 13 | 1 3 4 |
| 69.96 | 13 | 3 2 1 |
| 40.29 | 11 | 0 3 1 |